The following is a computed powder XRD pattern of Y7TmO12. It was derived from a structure optimized by DFT (PBE), using CuKα.
Peak positions follow from Bragg's law for the DFT cell and can differ from measured ones.

The 12 most intense peaks (2θ = 10–90°), low angle first:
- 2θ 20.39, d 4.356, rel. 15
- 2θ 28.99, d 3.080, rel. 100
- 2θ 33.60, d 2.668, rel. 27
- 2θ 35.70, d 2.515, rel. 7
- 2θ 39.62, d 2.275, rel. 6
- 2θ 43.23, d 2.093, rel. 11
- 2θ 48.25, d 1.886, rel. 42
- 2θ 52.90, d 1.731, rel. 7
- 2θ 55.84, d 1.646, rel. 5
- 2θ 57.27, d 1.609, rel. 29
- 2θ 58.68, d 1.573, rel. 7
- 2θ 78.08, d 1.224, rel. 8

Structural model:
```
40
Lattice="-5.334 5.335 5.336 5.334 -5.335 5.336 5.334 5.335 -5.336" Properties=species:S:1:pos:R:3 pbc="T T T"
Y 5.335 -5.322 5.332
Y 5.333 0.013 0.004
Y 5.334 2.667 -2.302
Y 2.315 0.000 2.668
Y 7.655 0.000 2.668
Y 0.000 2.667 2.302
Y 5.333 -0.013 5.332
Y 5.335 5.322 0.004
Y 5.334 2.667 3.010
Y 2.667 2.314 5.336
Y -2.315 5.335 2.668
Y 3.013 5.335 2.668
Y -2.667 3.020 5.336
Y 0.000 2.667 7.663
Tm 8.001 2.309 0.000
Tm 2.667 3.026 0.000
O 4.262 -3.814 3.963
O 3.815 1.407 -1.031
O 3.949 -1.046 1.504
O 1.519 1.407 1.031
O 6.406 -1.521 3.963
O 3.938 6.390 -3.851
O 3.938 4.280 -1.486
O 1.519 -1.407 4.305
O 6.406 1.521 1.374
O 3.949 1.046 3.832
O 3.815 -1.407 6.368
O 4.262 3.814 1.374
O 1.042 1.494 3.945
O 1.500 6.722 -1.050
O 1.396 4.280 1.486
O 3.834 6.722 1.050
O -1.042 3.841 3.945
O 1.385 1.046 6.841
O 1.385 -1.046 9.168
O -1.042 6.829 1.391
O 3.834 3.948 4.287
O 1.396 6.390 3.851
O 1.500 3.948 6.386
O 1.042 9.176 1.391
```